Theoretical powder diffractogram of LaDySe for Cu Kα, 1.54184 Å, from DFT lattice parameters and positions (PBE).
No peak broadening, texture or thermal motion is included.

Crystal structure
Unit cell a=7.039 b=7.039 c=7.662 alpha=90.00 beta=90.00 gamma=101.42
Positions (direct):
La: 0.204 0.204 0.000
La: 0.296 0.296 0.500
La: 0.704 0.704 0.500
La: 0.796 0.796 0.000
Dy: 0.201 0.799 0.665
Dy: 0.299 0.701 0.165
Dy: 0.701 0.299 0.835
Dy: 0.799 0.201 0.335
Se: 0.065 0.935 0.305
Se: 0.435 0.565 0.805
Se: 0.565 0.435 0.195
Se: 0.935 0.065 0.695

The 10 most intense peaks (15° ≤ 2θ ≤ 90°), most intense first:
| 2theta | d_spacing | Rel. int. |
| --- | --- | --- |
| 30.8 | 2.905 | 100 |
| 40.5 | 2.226 | 94 |
| 25.8 | 3.450 | 89 |
| 35.0 | 2.566 | 66 |
| 33.4 | 2.685 | 59 |
| 26.6 | 3.349 | 58 |
| 28.5 | 3.134 | 47 |
| 37.6 | 2.395 | 41 |
| 19.9 | 4.456 | 39 |
| 35.5 | 2.527 | 38 |

Theoretical powder diffractogram of NdZnGa2Ru2 for Cu Kα, 1.54184 Å, from DFT lattice parameters and positions (PBE).
No peak broadening, texture or thermal motion is included.

Crystal structure
Unit cell a=4.603 b=4.603 c=5.527 alpha=90.00 beta=90.00 gamma=90.00
Positions (direct):
Nd: 0.000 0.000 0.000
Zn: 0.000 0.000 0.500
Ga: 0.500 0.500 0.251
Ga: 0.500 0.500 0.749
Ru: 0.000 0.500 0.500
Ru: 0.500 0.000 0.500

The 10 most intense peaks (15° ≤ 2θ ≤ 90°), most intense first:
| 2theta | d_spacing | Rel. int. |
| --- | --- | --- |
| 39.1 | 2.301 | 100 |
| 38.0 | 2.369 | 89 |
| 31.9 | 2.804 | 84 |
| 55.7 | 1.651 | 57 |
| 56.6 | 1.627 | 33 |
| 16.0 | 5.527 | 28 |
| 81.2 | 1.185 | 23 |
| 51.7 | 1.768 | 21 |
| 66.4 | 1.407 | 20 |
| 32.4 | 2.763 | 20 |

Theoretical powder diffractogram of U2Se3O for Cu Kα, 1.54184 Å, from DFT lattice parameters and positions (PBE).
No peak broadening, texture or thermal motion is included.

Crystal structure
Unit cell a=6.271 b=6.271 c=6.482 alpha=90.00 beta=90.00 gamma=97.29
Positions (direct):
U: 0.216 0.216 0.000
U: 0.216 0.216 0.500
U: 0.784 0.784 0.000
U: 0.784 0.784 0.500
Se: 0.085 0.561 0.250
Se: 0.421 0.579 0.750
Se: 0.439 0.915 0.250
Se: 0.561 0.085 0.750
Se: 0.579 0.421 0.250
Se: 0.915 0.439 0.750
O: 0.021 0.979 0.750
O: 0.979 0.021 0.250

The 10 most intense peaks (15° ≤ 2θ ≤ 90°), most intense first:
| 2theta | d_spacing | Rel. int. |
| --- | --- | --- |
| 40.2 | 2.244 | 100 |
| 33.6 | 2.670 | 89 |
| 21.4 | 4.143 | 64 |
| 18.9 | 4.708 | 64 |
| 35.2 | 2.553 | 38 |
| 44.3 | 2.047 | 32 |
| 38.2 | 2.354 | 31 |
| 33.8 | 2.651 | 24 |
| 28.7 | 3.110 | 24 |
| 66.7 | 1.402 | 21 |

Theoretical powder diffractogram of Rb6HgCl for Cu Kα, 1.54184 Å, from DFT lattice parameters and positions (PBE).
No peak broadening, texture or thermal motion is included.

Crystal structure
Unit cell a=8.699 b=8.699 c=16.442 alpha=90.00 beta=90.00 gamma=120.00
Positions (direct):
Rb: 0.015 0.357 0.130
Rb: 0.015 0.659 0.370
Rb: 0.341 0.357 0.370
Rb: 0.341 0.985 0.130
Rb: 0.357 0.015 0.630
Rb: 0.357 0.341 0.870
Rb: 0.643 0.659 0.130
Rb: 0.643 0.985 0.370
Rb: 0.659 0.015 0.870
Rb: 0.659 0.643 0.630
Rb: 0.985 0.341 0.630
Rb: 0.985 0.643 0.870
Hg: 0.000 0.000 0.000
Hg: 0.000 0.000 0.500
Cl: 0.333 0.667 0.250
Cl: 0.667 0.333 0.750

The 10 most intense peaks (15° ≤ 2θ ≤ 90°), most intense first:
| 2theta | d_spacing | Rel. int. |
| --- | --- | --- |
| 23.1 | 3.845 | 100 |
| 29.9 | 2.987 | 56 |
| 16.0 | 5.554 | 49 |
| 35.8 | 2.511 | 38 |
| 38.8 | 2.319 | 23 |
| 33.3 | 2.691 | 18 |
| 58.0 | 1.590 | 18 |
| 43.0 | 2.102 | 17 |
| 24.7 | 3.608 | 16 |
| 26.0 | 3.424 | 15 |

Theoretical powder diffractogram of Pm3Mg3Cd for Cu Kα, 1.54184 Å, from DFT lattice parameters and positions (PBE).
No peak broadening, texture or thermal motion is included.

Crystal structure
Unit cell a=7.661 b=7.661 c=7.063 alpha=90.00 beta=90.00 gamma=88.91
Positions (direct):
Pm: 0.000 0.000 0.249
Pm: 0.000 0.000 0.751
Pm: 0.000 0.500 0.253
Pm: 0.000 0.500 0.747
Pm: 0.500 0.000 0.253
Pm: 0.500 0.000 0.747
Mg: 0.287 0.287 0.001
Mg: 0.292 0.708 0.000
Mg: 0.331 0.669 0.500
Mg: 0.669 0.331 0.500
Mg: 0.708 0.292 0.000
Mg: 0.713 0.713 0.999
Cd: 0.270 0.270 0.500
Cd: 0.730 0.730 0.500

The 10 most intense peaks (15° ≤ 2θ ≤ 90°), most intense first:
| 2theta | d_spacing | Rel. int. |
| --- | --- | --- |
| 34.5 | 2.596 | 100 |
| 32.8 | 2.734 | 29 |
| 23.2 | 3.830 | 27 |
| 33.4 | 2.683 | 25 |
| 16.2 | 5.468 | 23 |
| 59.6 | 1.551 | 18 |
| 47.5 | 1.915 | 17 |
| 27.8 | 3.207 | 16 |
| 60.4 | 1.532 | 16 |
| 30.3 | 2.950 | 12 |